Computed PXRD pattern
Compound: Sn2Bi2F
Radiation: Cu Kα (weighted mean of Kα1 and Kα2)
Structure: the GGA-PBE geometry in Alexandria
Neutral-atom scattering factors, no anomalous dispersion.

Cell and atoms:
```
10
Lattice="8.2867 0.0000 0.0000 0.0000 8.2867 0.0000 0.0000 0.0000 4.0734" Properties=species:S:1:pos:R:3 pbc="T T T"
Sn 1.1526 2.9908 0.0000
Sn 2.9908 7.1342 0.0000
Sn 5.2960 1.1526 0.0000
Sn 7.1342 5.2960 0.0000
Bi 1.3288 5.4722 2.0367
Bi 2.8146 1.3288 2.0367
Bi 5.4722 6.9580 2.0367
Bi 6.9580 2.8146 2.0367
F 0.0000 0.0000 2.0367
F 4.1434 4.1434 2.0367
```

Most intense lines, 5° ≤ 2θ ≤ 70°, sorted by position:
2θ = 15.12°, I 240; 2θ = 32.67°, I 1000; 2θ = 34.22°, I 250; 2θ = 46.49°, I 126; 2θ = 50.65°, I 136; 2θ = 64.76°, I 198